For Ta2Cr2Cl7, a structure optimized by DFT (PBE) gives the calculated X-ray powder pattern in this record (Cu Kα (weighted mean of Kα1 and Kα2)).

Principal peaks in the range 2θ = 10–90°, most intense first:
Position (°2θ)  I (rel.)
11.33  100
16.76  73
25.54  30
15.29  29
33.46  16
36.42  13

Structural model:
```
22
Lattice="3.640 -5.200 0.000 3.640 5.200 0.000 -2.651 0.000 15.624" Properties=species:S:1:pos:R:3 pbc="T T T"
Ta 1.584 1.358 0.427
Ta 0.258 -1.358 8.239
Ta 4.371 1.358 7.384
Ta 3.045 -1.358 15.196
Cr 0.934 2.217 13.862
Cr 2.370 2.217 9.573
Cr 2.259 -2.217 6.050
Cr 3.695 -2.217 1.761
Cl -0.378 1.165 7.348
Cl 2.411 3.202 1.937
Cl 1.652 3.033 11.718
Cl -1.704 -1.165 15.160
Cl 3.543 3.202 5.875
Cl 3.003 0.134 1.955
Cl 1.678 -0.134 9.767
Cl 2.951 0.134 5.857
Cl 1.626 -0.134 13.668
Cl 1.086 -3.202 9.749
Cl 6.332 1.165 0.463
Cl 2.977 -3.033 3.906
Cl 2.218 -3.202 13.686
Cl 5.007 -1.165 8.275
```